No. 1
Structure and theoretical X-ray powder pattern of NaMoO3F (a crystal structure in the Materials Project, relaxed with GGA+U; Cu Kα (weighted mean of Kα1 and Kα2)).

Top 10 peaks for 10° ≤ 2θ ≤ 80°, in order of falling intensity:
| Position (°2θ) | Rel. int. |
| --- | --- |
| 27.01 | 1000 |
| 14.15 | 636 |
| 15.56 | 547 |
| 25.92 | 395 |
| 27.67 | 392 |
| 28.45 | 361 |
| 32.68 | 345 |
| 12.88 | 291 |
| 52.92 | 234 |
| 48.41 | 206 |

```
data_NaMoO3F
_symmetry_space_group_name_H-M 'P 1 21/m 1'
_symmetry_Int_Tables_number 11
_cell_length_a 6.6578
_cell_length_b 3.7608
_cell_length_c 7.3129
_cell_angle_alpha 90.00
_cell_angle_beta 109.91
_cell_angle_gamma 90.00
loop_
_symmetry_equiv_pos_as_xyz
'x,y,z'
'-x,-y,-z'
'-x,y+1/2,-z'
'x,-y+1/2,z'
loop_
_atom_site_label
_atom_site_fract_x
_atom_site_fract_y
_atom_site_fract_z
Na1 0.0887 0.2500 0.2049
Mo1 0.3969 0.2500 0.7860
O1 0.2093 0.2500 0.5548
O2 0.3621 0.7500 0.2603
O3 0.4107 0.7500 0.8725
F1 0.1359 0.2500 0.9003
```

=====

No. 2
Structure and theoretical X-ray powder pattern of Rb2NaMoF6 (a crystal structure in the Materials Project, relaxed with GGA+U; Cu Kα (weighted mean of Kα1 and Kα2)).

Top 10 peaks for 10° ≤ 2θ ≤ 80°, in order of falling intensity:
| Position (°2θ) | Rel. int. |
| --- | --- |
| 28.61 | 1000 |
| 40.90 | 475 |
| 50.67 | 400 |
| 59.22 | 286 |
| 17.40 | 235 |
| 67.07 | 180 |
| 35.23 | 164 |
| 33.68 | 98 |
| 74.48 | 91 |
| 53.98 | 45 |

```
data_Rb2NaMoF6
_symmetry_space_group_name_H-M 'F m -3 m'
_symmetry_Int_Tables_number 225
_symmetry_space_group_name_Hall '-F 4 2 3'
_cell_length_a 8.8259
_cell_length_b 8.8259
_cell_length_c 8.8259
_cell_angle_alpha 90.00
_cell_angle_beta 90.00
_cell_angle_gamma 90.00
loop_
_atom_site_label
_atom_site_fract_x
_atom_site_fract_y
_atom_site_fract_z
Rb1 0.2500 0.2500 0.2500
Na1 0.0000 0.0000 0.0000
Mo1 0.0000 0.0000 0.5000
F1 0.0000 0.0000 0.2617
```

=====

Please write out number 1 again, unchanged.
Structure and theoretical X-ray powder pattern of NaMoO3F (a crystal structure in the Materials Project, relaxed with GGA+U; Cu Kα (weighted mean of Kα1 and Kα2)).

Top 10 peaks for 10° ≤ 2θ ≤ 80°, in order of falling intensity:
| Position (°2θ) | Rel. int. |
| --- | --- |
| 27.01 | 1000 |
| 14.15 | 636 |
| 15.56 | 547 |
| 25.92 | 395 |
| 27.67 | 392 |
| 28.45 | 361 |
| 32.68 | 345 |
| 12.88 | 291 |
| 52.92 | 234 |
| 48.41 | 206 |

```
data_NaMoO3F
_symmetry_space_group_name_H-M 'P 1 21/m 1'
_symmetry_Int_Tables_number 11
_cell_length_a 6.6578
_cell_length_b 3.7608
_cell_length_c 7.3129
_cell_angle_alpha 90.00
_cell_angle_beta 109.91
_cell_angle_gamma 90.00
loop_
_symmetry_equiv_pos_as_xyz
'x,y,z'
'-x,-y,-z'
'-x,y+1/2,-z'
'x,-y+1/2,z'
loop_
_atom_site_label
_atom_site_fract_x
_atom_site_fract_y
_atom_site_fract_z
Na1 0.0887 0.2500 0.2049
Mo1 0.3969 0.2500 0.7860
O1 0.2093 0.2500 0.5548
O2 0.3621 0.7500 0.2603
O3 0.4107 0.7500 0.8725
F1 0.1359 0.2500 0.9003
```